# 1
Computed XRD peak list
Compound: Al4Si2Mo3
Radiation: a wavelength of 1.5418 Å
Structure: the GGA-PBE geometry in Alexandria
Intensities are scaled so that the largest is 100.

Structure:
Unit cell a=4.7992 b=4.7992 c=13.4267 alpha=95.12 beta=95.12 gamma=119.38
Positions (direct):
Al: 0.0000 0.0000 0.0000
Al: 0.0107 0.6536 0.6682
Al: 0.2694 0.4045 0.1681
Al: 0.3369 0.3215 0.6650
Al: 0.3464 0.9893 0.3318
Al: 0.5955 0.7306 0.8319
Al: 0.6703 0.3297 0.0000
Al: 0.6785 0.6631 0.3350
Si: 0.2567 0.7433 0.5000
Si: 0.6035 0.0767 0.1670
Si: 0.9233 0.3965 0.8330
Si: 0.9330 0.0670 0.5000
Mo: 0.0099 0.3257 0.3379
Mo: 0.2601 0.0675 0.8333
Mo: 0.3346 0.6654 0.0000
Mo: 0.5963 0.4037 0.5000
Mo: 0.6743 0.9901 0.6620
Mo: 0.9325 0.7399 0.1667

Main lines, in order of rising 2θ (10 to 90 degrees two-theta):
- 2θ 23.55, intensity 78
- 2θ 29.60, intensity 46
- 2θ 37.48, intensity 12
- 2θ 38.90, intensity 100
- 2θ 40.98, intensity 43
- 2θ 42.53, intensity 39
- 2θ 42.67, intensity 38
- 2θ 43.27, intensity 16
- 2θ 49.02, intensity 50
- 2θ 68.10, intensity 18
- 2θ 71.60, intensity 16
- 2θ 79.97, intensity 12

---

# 2
Computed XRD peak list
Compound: AlTcMo4
Radiation: a wavelength of 1.5418 Å
Structure: the GGA-PBE geometry in Alexandria
Intensities are scaled so that the largest is 100.

Structure:
Unit cell a=5.1728 b=5.1728 c=5.1728 alpha=60.00 beta=60.00 gamma=60.00
Positions (direct):
Al: 0.0000 0.0000 0.0000
Tc: 0.2500 0.2500 0.2500
Mo: 0.1231 0.6256 0.6256
Mo: 0.6256 0.1231 0.6256
Mo: 0.6256 0.6256 0.1231
Mo: 0.6256 0.6256 0.6256

Main lines, in order of rising 2θ (10 to 90 degrees two-theta):
- 2θ 21.03, intensity 31
- 2θ 24.33, intensity 7
- 2θ 34.68, intensity 15
- 2θ 40.92, intensity 100
- 2θ 42.82, intensity 55
- 2θ 49.86, intensity 11
- 2θ 54.69, intensity 7
- 2θ 62.16, intensity 5
- 2θ 66.40, intensity 31
- 2θ 73.19, intensity 28
- 2θ 87.43, intensity 11
- 2θ 88.70, intensity 21

---

# 3
Computed XRD peak list
Compound: AlV2TcMo
Radiation: a wavelength of 1.5418 Å
Structure: the GGA-PBE geometry in Alexandria
Intensities are scaled so that the largest is 100.

Structure:
Unit cell a=7.8164 b=7.8164 c=4.4330 alpha=90.00 beta=90.00 gamma=147.60
Positions (direct):
Al: 0.2485 0.7515 0.7500
Al: 0.7515 0.2485 0.2500
V: 0.0523 0.9477 0.7500
V: 0.1440 0.8560 0.2500
V: 0.8560 0.1440 0.7500
V: 0.9477 0.0523 0.2500
Tc: 0.3544 0.6456 0.2500
Tc: 0.6456 0.3544 0.7500
Mo: 0.4452 0.5548 0.7500
Mo: 0.5548 0.4452 0.2500

Main lines, in order of rising 2θ (10 to 90 degrees two-theta):
- 2θ 11.79, intensity 14
- 2θ 21.22, intensity 16
- 2θ 31.23, intensity 6
- 2θ 40.71, intensity 28
- 2θ 41.41, intensity 29
- 2θ 41.83, intensity 100
- 2θ 59.47, intensity 17
- 2θ 61.80, intensity 7
- 2θ 74.85, intensity 17
- 2θ 75.81, intensity 16
- 2θ 76.67, intensity 7
- 2θ 77.14, intensity 7

---

# 4
Computed XRD peak list
Compound: Ti5Al2Mo2
Radiation: a wavelength of 1.5418 Å
Structure: the GGA-PBE geometry in Alexandria
Intensities are scaled so that the largest is 100.

Structure:
Unit cell a=7.9560 b=7.4291 c=4.9125 alpha=77.32 beta=65.64 gamma=37.04
Positions (direct):
Ti: 0.0000 0.0000 0.0000
Ti: 0.1468 0.1468 0.3532
Ti: 0.3532 0.3532 0.1468
Ti: 0.6468 0.6468 0.8532
Ti: 0.8532 0.8532 0.6468
Al: 0.2504 0.2504 0.7496
Al: 0.7496 0.7496 0.2504
Mo: 0.3325 0.6675 0.3325
Mo: 0.6675 0.3325 0.6675

Main lines, in order of rising 2θ (10 to 90 degrees two-theta):
- 2θ 12.89, intensity 79
- 2θ 22.14, intensity 46
- 2θ 34.26, intensity 47
- 2θ 34.36, intensity 22
- 2θ 37.75, intensity 74
- 2θ 38.93, intensity 21
- 2θ 39.35, intensity 30
- 2θ 41.17, intensity 24
- 2θ 41.33, intensity 100
- 2θ 42.24, intensity 53
- 2θ 45.61, intensity 21
- 2θ 50.24, intensity 31